Entry 1:
This entry pairs a crystal structure of LaCrTeO6 with its calculated PXRD pattern. Radiation: λ = 1.5418 Å (Cu Kα). Structure: a structure optimized by DFT (PBE+U).
Kinematic intensities with the Lorentz-polarization factor, no thermal factor.

Atomic structure:
```
18
Lattice="5.2497 0.0000 0.0000 -2.6248 4.5463 0.0000 0.0000 0.0000 10.4367" Properties=species:S:1:pos:R:3 pbc="T T T"
La 0.0000 0.0000 0.0000
La 0.0000 0.0000 5.2184
Cr 0.0000 3.0309 2.6092
Cr 2.6248 1.5154 7.8275
Te 0.0000 3.0309 7.8275
Te 2.6248 1.5154 2.6092
O -0.9317 1.7039 8.9253
O -1.6150 2.8875 6.7298
O 0.9317 1.7039 6.7298
O -0.6834 4.5013 8.9253
O 1.9415 0.0451 3.7070
O 1.0098 1.6588 1.5114
O 1.6150 2.8875 8.9253
O 0.6834 4.5013 6.7298
O 3.3082 0.0451 1.5114
O 1.6931 2.8424 3.7070
O 4.2399 1.6588 3.7070
O 3.5565 2.8424 1.5114
```

Principal peaks in the range 2θ from 10° to 90°, in order of rising 2θ:
| 2θ (°) | I/Imax |
| --- | --- |
| 21.32 | 121 |
| 25.99 | 1000 |
| 34.16 | 331 |
| 34.37 | 78 |
| 43.42 | 227 |
| 49.24 | 405 |
| 56.37 | 222 |
| 56.66 | 102 |
| 61.16 | 121 |
| 77.95 | 88 |
| 78.19 | 83 |
| 82.22 | 81 |

Entry 2:
This entry pairs a crystal structure of BaLa3Mn4O12 with its calculated PXRD pattern. Radiation: λ = 1.5418 Å (Cu Kα). Structure: a structure optimized by DFT (PBE+U).
Kinematic intensities with the Lorentz-polarization factor, no thermal factor.

Atomic structure:
```
20
Lattice="4.0062 -5.5639 0.0000 4.0062 5.5639 0.0000 -4.0047 0.0000 5.5300" Properties=species:S:1:pos:R:3 pbc="T T T"
Ba 0.0000 0.0000 0.0000
La 0.0007 2.7819 2.7650
La 0.0007 -2.7819 2.7650
La 4.0062 0.0000 0.0000
Mn -2.0024 0.0000 2.7650
Mn 2.0031 2.7819 0.0000
Mn 2.0031 -2.7819 0.0000
Mn 2.0039 0.0000 2.7650
O 1.9498 4.0695 1.3723
O -0.0827 0.0000 2.8516
O 4.0062 2.7174 0.0000
O 2.0703 1.4091 1.4239
O 2.0580 4.0695 4.1577
O 1.9374 1.4090 4.1061
O 2.0703 -1.4090 1.4239
O 1.9498 -4.0695 1.3723
O 1.9374 -1.4091 4.1061
O 4.0062 -2.7174 0.0000
O 4.0905 0.0000 2.6784
O 2.0580 -4.0695 4.1577
```

Principal peaks in the range 2θ from 10° to 90°, in order of rising 2θ:
| 2θ (°) | I/Imax |
| --- | --- |
| 22.67 | 139 |
| 31.93 | 1000 |
| 32.18 | 246 |
| 32.38 | 240 |
| 39.43 | 148 |
| 39.60 | 147 |
| 45.27 | 171 |
| 46.30 | 319 |
| 57.21 | 189 |
| 57.47 | 186 |
| 66.75 | 193 |
| 76.68 | 120 |

Entry 3:
This entry pairs a crystal structure of MgV4O8 with its calculated PXRD pattern. Radiation: λ = 1.5418 Å (Cu Kα). Structure: a structure optimized by DFT (PBE+U).
Kinematic intensities with the Lorentz-polarization factor, no thermal factor.

Atomic structure:
```
13
Lattice="-3.0288 3.0839 4.1127 3.0288 -3.0839 4.1127 3.0288 3.0839 -4.1127" Properties=species:S:1:pos:R:3 pbc="T T T"
Mg 0.0000 0.0000 0.0000
V 3.0288 1.5196 0.9729
V 1.5377 3.0839 -0.9552
V 1.4910 0.0000 3.1575
V 0.0000 1.5643 5.0856
O 1.6505 0.0000 1.1329
O 4.4071 0.0000 1.1329
O 3.0288 -1.3733 3.0201
O 3.0288 1.7961 -0.9907
O 0.0000 1.2878 3.1221
O 3.0288 1.3733 3.0201
O 1.6704 3.0839 0.8582
O 1.3584 0.0000 4.9709
```

Principal peaks in the range 2θ from 10° to 90°, in order of rising 2θ:
| 2θ (°) | I/Imax |
| --- | --- |
| 17.98 | 1000 |
| 18.19 | 808 |
| 34.41 | 409 |
| 34.75 | 410 |
| 35.84 | 179 |
| 35.95 | 205 |
| 41.80 | 785 |
| 44.04 | 326 |
| 55.13 | 191 |
| 55.53 | 163 |
| 58.06 | 145 |
| 62.33 | 513 |

Entry 4:
This entry pairs a crystal structure of MgMn3CoO8 with its calculated PXRD pattern. Radiation: λ = 1.5418 Å (Cu Kα). Structure: a structure optimized by DFT (PBE+U).
Kinematic intensities with the Lorentz-polarization factor, no thermal factor.

Atomic structure:
```
13
Lattice="5.0502 -2.9552 0.0000 5.0502 2.9552 0.0000 -3.4584 0.0000 4.8699" Properties=species:S:1:pos:R:3 pbc="T T T"
Mg 0.0000 0.0000 0.0000
Mn 0.7959 1.4776 2.4349
Mn 0.7959 -1.4776 2.4349
Mn 5.0502 0.0000 0.0000
Co 3.3210 0.0000 2.4349
O 2.2624 1.3803 3.6858
O 1.5650 0.0000 1.4383
O 0.1293 0.0000 3.5523
O 4.3797 1.3803 1.1841
O 2.2624 -1.3803 3.6858
O 6.5127 0.0000 1.3175
O 5.0770 0.0000 3.4316
O 4.3797 -1.3803 1.1841
```

Principal peaks in the range 2θ from 10° to 90°, in order of rising 2θ:
| 2θ (°) | I/Imax |
| --- | --- |
| 18.22 | 222 |
| 18.48 | 1000 |
| 35.25 | 63 |
| 35.54 | 153 |
| 37.46 | 166 |
| 43.06 | 572 |
| 43.98 | 271 |
| 57.02 | 87 |
| 62.17 | 71 |
| 62.88 | 236 |
| 63.62 | 137 |
| 79.92 | 96 |

Entry 5:
This entry pairs a crystal structure of MgV4O5F7 with its calculated PXRD pattern. Radiation: λ = 1.5418 Å (Cu Kα). Structure: a structure optimized by DFT (PBE+U).
Kinematic intensities with the Lorentz-polarization factor, no thermal factor.

Atomic structure:
```
17
Lattice="5.1561 0.0000 0.0000 2.4814 4.8811 0.0000 2.4850 1.5830 8.3451" Properties=species:S:1:pos:R:3 pbc="T T T"
Mg 0.0000 0.0000 0.0000
V 2.5752 2.3828 5.3627
V 5.1980 3.7619 7.3889
V 4.9892 3.8784 1.3522
V 4.9382 0.6959 3.3263
O 4.1078 3.2594 6.1391
O 3.4918 3.0914 0.5175
O 3.5121 1.6741 4.0541
O 6.6795 4.9373 1.8650
O 6.7724 2.7851 6.9792
F 3.9981 4.5883 2.8665
F 5.5687 5.6020 6.5125
F 1.8887 0.7163 0.2806
F 5.6094 2.2453 2.3349
F 7.0333 3.9997 4.4625
F 6.0769 1.3748 4.7650
F 8.6761 5.0114 8.1444
```

Principal peaks in the range 2θ from 10° to 90°, in order of rising 2θ:
| 2θ (°) | I/Imax |
| --- | --- |
| 23.05 | 1000 |
| 23.97 | 897 |
| 24.39 | 977 |
| 32.24 | 239 |
| 32.84 | 212 |
| 34.10 | 266 |
| 34.73 | 219 |
| 47.10 | 268 |
| 49.98 | 202 |
| 51.81 | 197 |
| 55.06 | 186 |
| 62.36 | 226 |

Entry 6:
This entry pairs a crystal structure of LaMgVFeO6 with its calculated PXRD pattern. Radiation: λ = 1.5418 Å (Cu Kα). Structure: a structure optimized by DFT (PBE+U).
Kinematic intensities with the Lorentz-polarization factor, no thermal factor.

Atomic structure:
```
20
Lattice="5.3664 0.0000 0.0000 0.0000 5.4783 0.0000 -5.3564 0.0000 7.7540" Properties=species:S:1:pos:R:3 pbc="T T T"
La 0.0000 1.1454 0.0000
La -2.6782 4.3329 3.8770
Mg 0.1703 1.6697 3.9196
Mg 2.8485 3.8086 0.0426
V -2.6347 1.4012 5.8132
V 0.0435 4.0771 1.9362
Fe 2.7265 1.3674 1.9498
Fe 0.0483 4.1109 5.8268
O -1.9329 1.2564 3.8931
O 0.7453 4.2219 0.0161
O -3.0663 1.6290 7.7358
O -0.3881 3.8492 3.8588
O 1.0034 0.2341 2.3975
O -1.6748 5.2442 6.2745
O -1.1793 2.6007 6.2390
O 1.4989 2.8776 2.3620
O 1.0546 0.2914 5.3586
O 3.7329 5.1868 1.4816
O 4.2299 2.6716 1.4975
O 1.5516 2.8067 5.3745
```

Principal peaks in the range 2θ from 10° to 90°, in order of rising 2θ:
| 2θ (°) | I/Imax |
| --- | --- |
| 19.84 | 336 |
| 20.12 | 334 |
| 32.69 | 215 |
| 32.86 | 1000 |
| 33.39 | 213 |
| 38.68 | 224 |
| 39.15 | 184 |
| 46.87 | 154 |
| 47.43 | 271 |
| 58.45 | 142 |
| 59.35 | 238 |
| 68.89 | 125 |